Entry 1:
Computed X-ray powder pattern of PmScCu for copper Kα, from the PBE geometry in OQMD.

Structural model:
Lattice parameters (Å, degrees): 6.701 6.701 6.701 90.00 90.00 90.00
Space group F-43m (No. 216)
Inequivalent atoms, fractional coordinates:
Pm 0.000 0.000 0.000
Sc 0.000 0.000 0.500
Cu 0.250 0.250 0.250

Most intense lines, 15 to 90 degrees two-theta, by intensity:
hkl 2 2 0, 37.98°, I = 100; hkl 1 1 1, 22.99°, I = 54; hkl 4 2 2, 68.61°, I = 33; hkl 2 0 0, 26.60°, I = 29; hkl 3 1 1, 44.86°, I = 28; hkl 4 0 0, 54.80°, I = 17; hkl 3 3 1, 60.19°, I = 12; hkl 4 2 0, 61.93°, I = 11


Entry 2:
Computed X-ray powder pattern of PmZn2Cu for copper Kα, from the PBE geometry in OQMD.

Structural model:
Lattice parameters (Å, degrees): 4.299 9.693 7.036 90.00 90.00 90.00
Space group Cmcm (No. 63)
Inequivalent atoms, fractional coordinates:
Pm 0.000 0.076 0.250
Zn 0.000 0.362 0.059
Cu 0.000 0.216 0.750

Most intense lines, 15 to 90 degrees two-theta, by intensity:
hkl 1 1 2, 34.21°, I = 100; hkl 1 3 1, 37.08°, I = 100; hkl 2 0 0, 42.03°, I = 40; hkl 0 4 1, 39.33°, I = 32; hkl 0 2 3, 42.84°, I = 28; hkl 2 4 1, 58.91°, I = 19; hkl 2 2 3, 61.57°, I = 18; hkl 1 7 0, 71.59°, I = 15


Entry 3:
Computed X-ray powder pattern of Pr2Cu17 for copper Kα, from the PBE geometry in OQMD.

Structural model:
Lattice parameters (Å, degrees): 8.5684 8.5684 12.5249 90.00 90.00 120.00
Space group R-3m (No. 166, hexagonal axes)
Inequivalent atoms, fractional coordinates:
Pr 0.0000 0.0000 0.1565
Cu 0.0000 0.0000 0.4027
Cu 0.0000 0.2914 0.5000
Cu 0.0000 0.5000 0.0000
Cu 0.0031 0.5015 0.3457

Most intense lines, 15 to 90 degrees two-theta, by intensity:
hkl 3 0 3, 42.48°, I = 100; hkl 2 2 0, 42.19°, I = 64; hkl 0 0 6, 43.33°, I = 50; hkl 3 0 0, 36.32°, I = 39; hkl 2 2 3, 47.72°, I = 33; hkl 0 2 4, 37.59°, I = 30; hkl 1 1 3, 29.88°, I = 28; hkl 2 2 6, 62.07°, I = 26


Entry 4:
Computed X-ray powder pattern of Pr4CuPt3 for copper Kα, from the PBE geometry in OQMD.

Structural model:
Lattice parameters (Å, degrees): 5.799 4.614 7.470 90.00 90.25 90.00
Space group Pm (No. 6)
Inequivalent atoms, fractional coordinates:
Pr 0.000 0.000 0.000
Pr 0.222 0.000 0.496
Pr 0.492 0.500 0.869
Pr 0.722 0.500 0.359
Cu 0.729 0.000 0.643
Pt 0.206 0.500 0.226
Pt 0.516 0.000 0.136
Pt 0.989 0.500 0.717

Most intense lines, 15 to 90 degrees two-theta, by intensity:
hkl 1 1 -2, 34.55°, I = 100; hkl 2 1 1, 38.61°, I = 95; hkl 0 1 2, 30.80°, I = 77; hkl 2 0 -1, 33.12°, I = 51; hkl 0 2 0, 39.04°, I = 49; hkl 2 2 -1, 52.11°, I = 28; hkl 1 1 1, 27.46°, I = 26; hkl 1 0 1, 19.39°, I = 25


Entry 5:
Computed X-ray powder pattern of Pr2CuSi4Pt for copper Kα, from the PBE geometry in OQMD.

Structural model:
Lattice parameters (Å, degrees): 4.170 4.275 16.917 90.00 90.00 90.00
Space group Amm2 (No. 38)
Inequivalent atoms, fractional coordinates:
Pr 0.000 0.000 0.000
Pr 0.500 0.000 0.208
Cu 0.000 0.000 0.776
Si 0.000 0.000 0.347
Si 0.000 0.000 0.636
Si 0.500 0.000 0.563
Si 0.500 0.000 0.850
Pt 0.500 0.000 0.420

Most intense lines, 15 to 90 degrees two-theta, by intensity:
hkl 1 1 1, 30.41°, I = 100; hkl 0 1 5, 33.79°, I = 75; hkl 1 1 3, 33.98°, I = 53; hkl 1 0 4, 30.09°, I = 47; hkl 2 1 5, 56.10°, I = 35; hkl 0 2 0, 42.28°, I = 33; hkl 1 0 6, 38.54°, I = 31; hkl 2 0 0, 43.40°, I = 30


Entry 6:
Computed X-ray powder pattern of Rb2Pr4Cu4S9 for copper Kα, from the PBE geometry in OQMD.

Structural model:
Lattice parameters (Å, degrees): 14.187 4.076 16.547 90.00 109.13 90.00
Space group C2/m (No. 12)
Inequivalent atoms, fractional coordinates:
Rb 0.026 0.000 0.268
Pr 0.155 0.500 0.554
Pr 0.231 0.000 0.103
Cu 0.069 0.500 0.961
Cu 0.243 0.000 0.724
S 0.000 0.000 0.500
S 0.104 0.500 0.124
S 0.133 0.000 0.925
S 0.158 0.500 0.723
S 0.199 0.500 0.395

Most intense lines, 15 to 90 degrees two-theta, by intensity:
hkl 4 0 -2, 25.26°, I = 100; hkl 3 1 1, 31.47°, I = 91; hkl 1 1 2, 26.50°, I = 90; hkl 0 2 0, 44.45°, I = 84; hkl 1 1 -3, 27.23°, I = 80; hkl 6 0 1, 42.73°, I = 74; hkl 3 1 -1, 28.92°, I = 66; hkl 3 1 -2, 29.34°, I = 64


Entry 7:
Computed X-ray powder pattern of RbPr2CuTeS3 for copper Kα, from the PBE geometry in OQMD.

Structural model:
Lattice parameters (Å, degrees): 4.219 14.610 14.511 90.00 90.00 90.00
Space group Cmcm (No. 63)
Inequivalent atoms, fractional coordinates:
Rb 0.000 0.133 0.250
Pr 0.000 0.367 0.050
Cu 0.000 0.164 0.750
Te 0.000 0.444 0.250
S 0.000 0.000 0.000
S 0.000 0.251 0.611

Most intense lines, 15 to 90 degrees two-theta, by intensity:
hkl 1 3 2, 30.63°, I = 100; hkl 1 3 1, 28.67°, I = 43; hkl 1 5 3, 42.00°, I = 30; hkl 0 0 4, 24.54°, I = 27; hkl 0 2 5, 33.21°, I = 26; hkl 1 1 5, 38.14°, I = 23; hkl 2 0 0, 42.87°, I = 23; hkl 1 7 2, 50.37°, I = 23


Entry 8:
Computed X-ray powder pattern of RbPr2Cu3Se5 for copper Kα, from the PBE geometry in OQMD.

Structural model:
Lattice parameters (Å, degrees): 4.223 14.674 17.797 90.00 90.00 90.00
Space group Cmcm (No. 63)
Inequivalent atoms, fractional coordinates:
Rb 0.000 0.063 0.250
Pr 0.000 0.192 0.591
Cu 0.000 0.338 0.250
Cu 0.000 0.416 0.528
Se 0.000 0.160 0.072
Se 0.000 0.241 0.750
Se 0.000 0.445 0.114

Most intense lines, 15 to 90 degrees two-theta, by intensity:
hkl 1 3 0, 27.90°, I = 100; hkl 1 3 1, 28.37°, I = 93; hkl 0 0 6, 30.13°, I = 86; hkl 1 3 4, 34.55°, I = 80; hkl 1 3 2, 29.70°, I = 78; hkl 2 0 0, 42.83°, I = 75; hkl 1 3 7, 45.59°, I = 71; hkl 1 5 0, 37.31°, I = 44


Entry 9:
Computed X-ray powder pattern of RbPr2CuTe3Se for copper Kα, from the PBE geometry in OQMD.

Structural model:
Lattice parameters (Å, degrees): 4.418 15.354 15.712 90.00 90.00 90.00
Space group Cmcm (No. 63)
Inequivalent atoms, fractional coordinates:
Rb 0.000 0.116 0.250
Pr 0.000 0.374 0.060
Cu 0.000 0.157 0.750
Te 0.000 0.262 0.615
Te 0.000 0.438 0.250
Se 0.000 0.000 0.000

Most intense lines, 15 to 90 degrees two-theta, by intensity:
hkl 1 3 1, 27.26°, I = 100; hkl 1 3 2, 29.02°, I = 85; hkl 1 5 3, 39.67°, I = 61; hkl 0 2 4, 25.47°, I = 55; hkl 1 1 5, 35.55°, I = 41; hkl 2 0 0, 40.85°, I = 41; hkl 0 6 3, 39.18°, I = 28; hkl 0 2 5, 30.74°, I = 28


Entry 10:
Computed X-ray powder pattern of RbPr2Cu3Te4Se for copper Kα, from the PBE geometry in OQMD.

Structural model:
Lattice parameters (Å, degrees): 4.411 15.560 18.398 90.00 90.00 90.00
Space group Cmcm (No. 63)
Inequivalent atoms, fractional coordinates:
Rb 0.000 0.069 0.250
Pr 0.000 0.195 0.597
Cu 0.000 0.333 0.250
Cu 0.000 0.415 0.518
Te 0.000 0.155 0.072
Te 0.000 0.448 0.123
Se 0.000 0.244 0.750

Most intense lines, 15 to 90 degrees two-theta, by intensity:
hkl 1 3 1, 26.98°, I = 100; hkl 1 3 0, 26.53°, I = 94; hkl 1 3 4, 33.02°, I = 80; hkl 2 0 0, 40.92°, I = 73; hkl 1 3 2, 28.28°, I = 56; hkl 1 3 7, 43.73°, I = 51; hkl 0 0 6, 29.12°, I = 49; hkl 0 6 3, 37.66°, I = 38


Entry 11:
Computed X-ray powder pattern of Pr4CuS7 for copper Kα, from the PBE geometry in OQMD.

Structural model:
Lattice parameters (Å, degrees): 10.261 6.020 10.267 90.00 119.97 90.00
Space group P2_1 (No. 4)
Inequivalent atoms, fractional coordinates:
Pr 0.142 0.000 0.348
Pr 0.167 0.944 0.834
Pr 0.294 0.499 0.142
Pr 0.348 0.500 0.706
Cu 0.500 0.024 0.500
S 0.008 0.755 0.960
S 0.041 0.755 0.548
S 0.167 0.394 0.833
S 0.243 0.520 0.389
S 0.355 0.020 0.243
S 0.389 0.020 0.645
S 0.454 0.754 0.993

Most intense lines, 15 to 90 degrees two-theta, by intensity:
hkl 0 1 2, 24.90°, I = 100; hkl 2 0 2, 34.96°, I = 75; hkl 2 2 2, 46.50°, I = 35; hkl 0 2 0, 29.68°, I = 29; hkl 2 2 0, 36.04°, I = 29; hkl 4 1 0, 43.40°, I = 21; hkl 2 1 4, 56.90°, I = 16; hkl 2 0 0, 19.97°, I = 16


Entry 12:
Computed X-ray powder pattern of Pr2CuSb4 for copper Kα, from the PBE geometry in OQMD.

Structural model:
Lattice parameters (Å, degrees): 4.424 4.424 9.740 90.00 90.00 90.00
Space group P-4m2 (No. 115)
Inequivalent atoms, fractional coordinates:
Pr 0.000 0.500 0.237
Cu 0.500 0.500 0.000
Sb 0.000 0.000 0.500
Sb 0.000 0.500 0.864
Sb 0.500 0.500 0.500

Most intense lines, 15 to 90 degrees two-theta, by intensity:
hkl 1 1 2, 34.06°, I = 100; hkl 2 0 0, 40.80°, I = 54; hkl 1 1 1, 30.00°, I = 45; hkl 1 0 3, 34.26°, I = 43; hkl 3 1 2, 69.97°, I = 24; hkl 2 1 3, 54.30°, I = 23; hkl 0 0 3, 27.47°, I = 22; hkl 1 0 2, 27.23°, I = 20